(1)
Starting from a GGA-PBE-relaxed structure, the powder diffractogram of Ho8Tm3Sc4 was calculated for a wavelength of 1.5418 Å.
Lines closer than 0.1° are merged.

Top 10 peaks for 10 to 80 degrees two-theta, most intense first:
d (Å), 2θ (°), I/Imax
2.941, 30.4, 100
2.919, 30.6, 77
2.632, 34.1, 58
2.509, 35.8, 53
2.071, 43.7, 45
4.148, 21.4, 39
3.275, 27.2, 34
2.843, 31.5, 27
8.285, 10.7, 24
3.098, 28.8, 19

Atomic structure:
abc: 13.0153 11.7594 6.5650
angles: 90.00 116.22 90.00
Space group C2/m (No. 12)
Unique sites:
Ho: 0.0000 0.2032 0.0000 [4 per cell]
Ho: 0.0000 0.2606 0.5000 [4 per cell]
Ho: 0.2027 0.0000 0.1680 [4 per cell]
Ho: 0.2354 0.5000 0.2976 [4 per cell]
Tm: 0.0000 0.0000 0.5000 [2 per cell]
Tm: 0.2500 0.2500 0.0000 [4 per cell]
Sc: 0.0000 0.5000 0.0000 [2 per cell]
Sc: 0.0000 0.5000 0.5000 [2 per cell]
Sc: 0.2500 0.2500 0.5000 [4 per cell]

(2)
Starting from a GGA-PBE-relaxed structure, the powder diffractogram of Ca2GaSi2O7 was calculated for a wavelength of 1.5418 Å.
Lines closer than 0.1° are merged.

Top 10 peaks for 10 to 80 degrees two-theta, most intense first:
d (Å), 2θ (°), I/Imax
2.935, 30.5, 100
3.155, 28.3, 76
1.801, 50.7, 46
2.533, 35.4, 43
3.799, 23.4, 41
2.832, 31.6, 19
1.791, 51.0, 18
1.899, 47.9, 17
5.122, 17.3, 16
2.083, 43.4, 16

Atomic structure:
abc: 8.0089 8.0089 5.1216
angles: 90.00 90.00 90.00
Space group P-42_1m (No. 113)
Unique sites:
Ca: 0.1729 0.3271 0.4917 [4 per cell]
Ga: 0.0000 0.0000 0.0000 [2 per cell]
Si: 0.1399 0.6399 0.0694 [4 per cell]
O: 0.0000 0.5000 0.1823 [2 per cell]
O: 0.0812 0.8113 0.2272 [8 per cell]
O: 0.1451 0.6451 0.7553 [4 per cell]